TaW2O8: simulated PXRD pattern (Cu Ka), based on a DFT-relaxed cell (GGA+U, the Materials Project).

Main lines, in order of rising 2θ (2θ = 10–90°):
d 6.806, I 100
d 4.071, I 26
d 3.738, I 55
d 3.350, I 19
d 3.269, I 39
d 3.136, I 33
d 2.692, I 12
d 2.557, I 14
d 2.428, I 25
d 2.377, I 14
d 2.308, I 21
d 1.971, I 15

Crystal structure
a b c (Å): 5.1231 5.2932 7.2180
angles (deg): 107.76 92.92 104.84
Fractional positions:
Ta 0.0000 0.0000 0.0000
W 0.2485 0.4583 0.8076
W 0.7233 0.5446 0.1756
O 0.0949 0.7578 0.1322
O 0.1164 0.7294 0.7611
O 0.3399 0.2962 0.5849
O 0.3646 0.2673 0.0167
O 0.6179 0.7052 0.9572
O 0.6561 0.7124 0.4052
O 0.8758 0.2441 0.2006
O 0.9170 0.1974 0.8140

***

CoTeMoO6: simulated PXRD pattern (Cu Ka), based on a DFT-relaxed cell (GGA+U, the Materials Project).

Main lines, in order of rising 2θ (2θ = 10–90°):
d 4.593, I 26
d 3.692, I 40
d 3.422, I 36
d 2.877, I 100
d 2.666, I 14
d 2.558, I 12
d 2.306, I 8
d 1.846, I 22
d 1.740, I 9
d 1.627, I 9
d 1.577, I 17
d 1.531, I 16

Crystal structure
a b c (Å): 5.1161 5.3320 9.1859
angles (deg): 90.00 90.00 90.00
Fractional positions:
Co 0.0000 0.0000 0.0259
Co 0.5000 0.5000 0.9741
Te 0.0000 0.5000 0.2397
Te 0.5000 0.0000 0.7603
Mo 0.0000 0.5000 0.6980
Mo 0.5000 0.0000 0.3020
O 0.1609 0.2914 0.5835
O 0.2187 0.6792 0.1037
O 0.2420 0.1848 0.2003
O 0.2580 0.6848 0.7997
O 0.2813 0.1792 0.8963
O 0.3391 0.7914 0.4165
O 0.6609 0.2086 0.4165
O 0.7187 0.8208 0.8963
O 0.7420 0.3152 0.7997
O 0.7580 0.8152 0.2003
O 0.7813 0.3208 0.1037
O 0.8391 0.7086 0.5835

***

Li2Co3P4O14: simulated PXRD pattern (Cu Ka), based on a DFT-relaxed cell (GGA+U, the Materials Project).

Main lines, in order of rising 2θ (2θ = 10–90°):
d 6.903, I 100
d 5.951, I 26
d 5.116, I 58
d 3.282, I 50
d 3.079, I 48
d 3.049, I 61
d 3.034, I 57
d 2.989, I 76
d 2.730, I 26
d 2.619, I 22
d 2.545, I 24
d 2.476, I 33

Crystal structure
a b c (Å): 7.3417 7.9618 9.5279
angles (deg): 90.00 109.91 90.00
Fractional positions:
Li 0.2077 0.0849 0.1383
Li 0.2077 0.4151 0.6383
Li 0.7923 0.5849 0.3617
Li 0.7923 0.9151 0.8617
Co 0.3109 0.1258 0.4814
Co 0.3109 0.3742 0.9814
Co 0.5000 0.0000 0.0000
Co 0.5000 0.5000 0.5000
Co 0.6891 0.6258 0.0186
Co 0.6891 0.8742 0.5186
P 0.0986 0.0454 0.7180
P 0.0986 0.4546 0.2180
P 0.3863 0.7071 0.1944
P 0.3863 0.7929 0.6944
P 0.6137 0.2071 0.3056
P 0.6137 0.2929 0.8056
P 0.9014 0.5454 0.7820
P 0.9014 0.9546 0.2820
O 0.1110 0.5006 0.8002
O 0.1110 0.9994 0.3002
O 0.1241 0.1654 0.6005
O 0.1241 0.3346 0.1005
O 0.1814 0.6375 0.1911
O 0.1814 0.8625 0.6911
O 0.2190 0.1046 0.8778
O 0.2190 0.3954 0.3778
O 0.3519 0.6208 0.6220
O 0.3519 0.8792 0.1220
O 0.4682 0.5835 0.1065
O 0.4682 0.9165 0.6065
O 0.4859 0.2054 0.1384
O 0.4859 0.2946 0.6384
O 0.5141 0.7054 0.3616
O 0.5141 0.7946 0.8616
O 0.5318 0.0835 0.3935
O 0.5318 0.4165 0.8935
O 0.6481 0.1208 0.8780
O 0.6481 0.3792 0.3780
O 0.7810 0.6046 0.6222
O 0.7810 0.8954 0.1222
O 0.8186 0.1375 0.3089
O 0.8186 0.3625 0.8089
O 0.8759 0.6654 0.8995
O 0.8759 0.8346 0.3995
O 0.8890 0.0006 0.6998
O 0.8890 0.4994 0.1998

***

Cs2ZrAl2Mo6O24: simulated PXRD pattern (Cu Ka), based on a DFT-relaxed cell (GGA+U, the Materials Project).

Main lines, in order of rising 2θ (2θ = 10–90°):
d 4.278, I 25
d 4.184, I 48
d 4.140, I 33
d 4.074, I 33
d 3.549, I 33
d 3.507, I 14
d 3.480, I 30
d 3.320, I 100
d 3.299, I 53
d 2.824, I 37
d 2.784, I 20
d 1.908, I 18

Crystal structure
a b c (Å): 8.6372 8.6423 8.8223
angles (deg): 99.13 98.96 99.56
Fractional positions:
Cs 0.1726 0.1730 0.1779
Cs 0.8274 0.8270 0.8221
Zr 0.5000 0.5000 0.0000
Al 0.0000 0.5000 0.5000
Al 0.5000 0.0000 0.5000
Mo 0.2096 0.2226 0.6603
Mo 0.2239 0.6805 0.2287
Mo 0.3193 0.7891 0.7615
Mo 0.6807 0.2109 0.2385
Mo 0.7761 0.3195 0.7713
Mo 0.7904 0.7774 0.3397
O 0.0385 0.0970 0.6814
O 0.1050 0.7107 0.0621
O 0.1066 0.5733 0.3450
O 0.1297 0.6716 0.6556
O 0.1535 0.3648 0.5415
O 0.2848 0.9560 0.8793
O 0.3104 0.3300 0.8570
O 0.3390 0.1139 0.5625
O 0.3431 0.8710 0.3312
O 0.3560 0.5465 0.1670
O 0.4303 0.6754 0.8825
O 0.4481 0.8499 0.6298
O 0.5519 0.1501 0.3702
O 0.5697 0.3246 0.1175
O 0.6440 0.4535 0.8330
O 0.6569 0.1290 0.6688
O 0.6610 0.8861 0.4375
O 0.6896 0.6700 0.1430
O 0.7152 0.0440 0.1207
O 0.8465 0.6352 0.4585
O 0.8703 0.3284 0.3444
O 0.8934 0.4267 0.6550
O 0.8950 0.2893 0.9379
O 0.9615 0.9030 0.3186

***

Mn2CoP3O12: simulated PXRD pattern (Cu Ka), based on a DFT-relaxed cell (GGA+U, the Materials Project).

Main lines, in order of rising 2θ (2θ = 10–90°):
d 4.311, I 87
d 3.655, I 100
d 3.512, I 18
d 2.796, I 17
d 2.693, I 68
d 2.489, I 39
d 2.126, I 11
d 1.907, I 34
d 1.828, I 26
d 1.629, I 25
d 1.616, I 17
d 1.473, I 20

Crystal structure
a b c (Å): 8.5050 8.5050 8.5050
angles (deg): 60.91 60.91 60.91
Fractional positions:
Mn 0.1425 0.1425 0.1425
Mn 0.3575 0.3575 0.3575
Mn 0.6425 0.6425 0.6425
Mn 0.8575 0.8575 0.8575
Co 0.0000 0.0000 0.0000
Co 0.5000 0.5000 0.5000
P 0.0423 0.7500 0.4577
P 0.2500 0.5423 0.9577
P 0.4577 0.0423 0.7500
P 0.5423 0.9577 0.2500
P 0.7500 0.4577 0.0423
P 0.9577 0.2500 0.5423
O 0.0109 0.8102 0.6157
O 0.0568 0.9109 0.2583
O 0.0891 0.7417 0.9432
O 0.1157 0.3102 0.5109
O 0.1898 0.3843 0.9891
O 0.2417 0.5891 0.4432
O 0.2583 0.0568 0.9109
O 0.3102 0.5109 0.1157
O 0.3843 0.9891 0.1898
O 0.4109 0.5568 0.7583
O 0.4432 0.2417 0.5891
O 0.4891 0.8843 0.6898
O 0.5109 0.1157 0.3102
O 0.5568 0.7583 0.4109
O 0.5891 0.4432 0.2417
O 0.6157 0.0109 0.8102
O 0.6898 0.4891 0.8843
O 0.7417 0.9432 0.0891
O 0.7583 0.4109 0.5568
O 0.8102 0.6157 0.0109
O 0.8843 0.6898 0.4891
O 0.9109 0.2583 0.0568
O 0.9432 0.0891 0.7417
O 0.9891 0.1898 0.3843

***

Zn2Ni3O8: simulated PXRD pattern (Cu Ka), based on a DFT-relaxed cell (GGA+U, the Materials Project).

Main lines, in order of rising 2θ (2θ = 10–90°):
d 4.750, I 56
d 3.168, I 88
d 2.973, I 66
d 2.763, I 73
d 2.653, I 100
d 2.428, I 64
d 2.418, I 74
d 2.281, I 72
d 1.820, I 57
d 1.592, I 72
d 1.413, I 55
d 1.398, I 54

Crystal structure
a b c (Å): 5.6691 5.6691 4.8393
angles (deg): 102.86 102.86 59.78
Fractional positions:
Zn 0.2094 0.2094 0.1241
Zn 0.7906 0.7906 0.8759
Ni 0.2484 0.7516 0.5000
Ni 0.5000 0.5000 0.0000
Ni 0.7516 0.2484 0.5000
O 0.1097 0.1097 0.4286
O 0.1615 0.6122 0.1231
O 0.3878 0.8385 0.8769
O 0.3987 0.3987 0.6141
O 0.6013 0.6013 0.3859
O 0.6122 0.1615 0.1231
O 0.8385 0.3878 0.8769
O 0.8903 0.8903 0.5714

***

Li2FeO3: simulated PXRD pattern (Cu Ka), based on a DFT-relaxed cell (GGA+U, the Materials Project).

Main lines, in order of rising 2θ (2θ = 10–90°):
d 4.808, I 100
d 4.401, I 21
d 4.209, I 37
d 3.768, I 26
d 3.247, I 16
d 2.505, I 38
d 2.085, I 35
d 2.075, I 70
d 1.599, I 10
d 1.473, I 18
d 1.468, I 36
d 1.403, I 9

Crystal structure
a b c (Å): 5.0842 5.0844 5.1076
angles (deg): 99.72 99.72 119.91
Fractional positions:
Li 0.0000 0.0000 0.0000
Li 0.1598 0.8416 0.4997
Li 0.3265 0.6743 0.9996
Li 0.6467 0.3537 0.9992
Fe 0.4925 0.5088 0.4994
Fe 0.8259 0.1755 0.4995
O 0.1012 0.4168 0.2707
O 0.2529 0.2825 0.7220
O 0.4318 0.1296 0.2678
O 0.5847 0.9003 0.7284
O 0.7190 0.7486 0.2768
O 0.8718 0.5696 0.7313